No. 1
This entry pairs a crystal structure of Cr2HgAs2 with its computed powder diffractogram. Radiation: Cu Kα. Structure: a DFT-relaxed cell (GGA-PBE, Alexandria).
Intensities are scaled so that the largest is 100.

Top 12 peaks for 2θ from 10° to 90°, by intensity:
- 2θ = 34.37°, rel. 100.0
- 2θ = 34.64°, rel. 79.1
- 2θ = 41.94°, rel. 57.9
- 2θ = 55.31°, rel. 51.5
- 2θ = 29.32°, rel. 43.1
- 2θ = 51.04°, rel. 24.0
- 2θ = 22.53°, rel. 23.8
- 2θ = 68.12°, rel. 20.4
- 2θ = 60.81°, rel. 18.8
- 2θ = 64.56°, rel. 18.4
- 2θ = 71.92°, rel. 17.9
- 2θ = 86.74°, rel. 15.1

Crystal structure
```
Cr2HgAs2
1.0
4.308 0.000 0.000
0.000 4.308 0.000
0.000 0.000 9.836
Cr Hg As
4 2 4
Direct
0.000 0.500 0.250 Cr
0.000 0.500 0.750 Cr
0.500 0.000 0.250 Cr
0.500 0.000 0.750 Cr
0.000 0.000 0.000 Hg
0.500 0.500 0.500 Hg
0.000 0.000 0.367 As
0.000 0.000 0.633 As
0.500 0.500 0.133 As
0.500 0.500 0.867 As
```


No. 2
This entry pairs a crystal structure of Sr2Sn6Ir with its computed powder diffractogram. Radiation: Cu Kα. Structure: a DFT-relaxed cell (GGA-PBE, Alexandria).
Intensities are scaled so that the largest is 100.

Top 12 peaks for 2θ from 10° to 90°, by intensity:
- 2θ = 29.64°, rel. 100.0
- 2θ = 42.77°, rel. 42.1
- 2θ = 38.74°, rel. 32.8
- 2θ = 40.18°, rel. 29.7
- 2θ = 57.04°, rel. 21.7
- 2θ = 37.90°, rel. 19.2
- 2θ = 37.43°, rel. 16.8
- 2θ = 28.66°, rel. 15.1
- 2θ = 28.37°, rel. 13.7
- 2θ = 55.32°, rel. 13.2
- 2θ = 31.89°, rel. 12.6
- 2θ = 27.85°, rel. 11.6

Crystal structure
```
Sr2Sn6Ir
1.0
4.649 0.000 0.000
0.000 2.245 12.585
0.000 -2.245 12.585
Sr Sn Ir
2 6 1
Direct
0.000 0.000 0.000 Sr
0.000 0.334 0.334 Sr
0.000 0.610 0.610 Sn
0.000 0.725 0.725 Sn
0.500 0.106 0.106 Sn
0.500 0.222 0.222 Sn
0.500 0.455 0.455 Sn
0.500 0.884 0.884 Sn
0.500 0.780 0.780 Ir
```


No. 3
This entry pairs a crystal structure of HoPa4Ge5 with its computed powder diffractogram. Radiation: Cu Kα. Structure: a DFT-relaxed cell (GGA-PBE, Alexandria).
Intensities are scaled so that the largest is 100.

Top 12 peaks for 2θ from 10° to 90°, by intensity:
- 2θ = 30.57°, rel. 100.0
- 2θ = 43.81°, rel. 63.1
- 2θ = 26.40°, rel. 43.1
- 2θ = 72.26°, rel. 23.2
- 2θ = 54.25°, rel. 13.6
- 2θ = 54.44°, rel. 13.4
- 2θ = 80.33°, rel. 13.2
- 2θ = 80.58°, rel. 13.1
- 2θ = 43.67°, rel. 12.7
- 2θ = 63.65°, rel. 12.6
- 2θ = 51.80°, rel. 11.0
- 2θ = 51.91°, rel. 10.9

Crystal structure
```
HoPa4Ge5
1.0
-2.073 2.923 10.315
2.073 -2.923 10.315
2.073 2.923 -10.315
Ho Pa Ge
1 4 5
Direct
0.000 0.000 0.000 Ho
0.199 0.199 0.000 Pa
0.401 0.401 0.000 Pa
0.599 0.599 0.000 Pa
0.801 0.801 0.000 Pa
0.101 0.601 0.500 Ge
0.300 0.800 0.500 Ge
0.500 0.000 0.500 Ge
0.700 0.200 0.500 Ge
0.899 0.399 0.500 Ge
```


No. 4
This entry pairs a crystal structure of CsNa5Sr4 with its computed powder diffractogram. Radiation: Cu Kα. Structure: a DFT-relaxed cell (GGA-PBE, Alexandria).
Intensities are scaled so that the largest is 100.

Top 12 peaks for 2θ from 10° to 90°, by intensity:
- 2θ = 26.87°, rel. 100.0
- 2θ = 28.00°, rel. 57.6
- 2θ = 19.70°, rel. 47.5
- 2θ = 48.86°, rel. 37.5
- 2θ = 18.10°, rel. 25.4
- 2θ = 33.54°, rel. 22.0
- 2θ = 40.01°, rel. 21.7
- 2θ = 24.52°, rel. 12.6
- 2θ = 44.98°, rel. 11.1
- 2θ = 29.51°, rel. 10.3
- 2θ = 44.24°, rel. 10.1
- 2θ = 64.95°, rel. 9.8

Crystal structure
```
CsNa5Sr4
1.0
4.506 0.000 0.000
0.000 4.506 0.000
0.000 0.000 24.508
Cs Na Sr
1 5 4
Direct
0.000 0.000 0.000 Cs
0.500 0.500 0.128 Na
0.500 0.500 0.315 Na
0.500 0.500 0.500 Na
0.500 0.500 0.685 Na
0.500 0.500 0.872 Na
0.000 0.000 0.223 Sr
0.000 0.000 0.407 Sr
0.000 0.000 0.593 Sr
0.000 0.000 0.777 Sr
```


No. 5
This entry pairs a crystal structure of ThNi4H7 with its computed powder diffractogram. Radiation: Cu Kα. Structure: a DFT-relaxed cell (GGA-PBE, Alexandria).
Intensities are scaled so that the largest is 100.

Top 12 peaks for 2θ from 10° to 90°, by intensity:
- 2θ = 34.83°, rel. 100.0
- 2θ = 31.00°, rel. 64.0
- 2θ = 33.35°, rel. 41.3
- 2θ = 44.77°, rel. 23.7
- 2θ = 40.67°, rel. 20.0
- 2θ = 47.78°, rel. 19.8
- 2θ = 21.50°, rel. 19.6
- 2θ = 46.50°, rel. 18.8
- 2θ = 58.06°, rel. 16.4
- 2θ = 15.58°, rel. 15.8
- 2θ = 58.21°, rel. 14.7
- 2θ = 53.57°, rel. 14.7

Crystal structure
```
ThNi4H7
1.0
3.807 0.000 0.000
0.000 11.374 0.000
0.000 0.000 4.437
Th Ni H
2 8 14
Direct
0.250 0.250 0.205 Th
0.750 0.750 0.795 Th
0.250 0.504 0.807 Ni
0.250 0.637 0.307 Ni
0.250 0.863 0.307 Ni
0.250 0.996 0.807 Ni
0.750 0.004 0.193 Ni
0.750 0.137 0.693 Ni
0.750 0.363 0.693 Ni
0.750 0.496 0.193 Ni
0.250 0.005 0.187 H
0.250 0.136 0.708 H
0.250 0.364 0.708 H
0.250 0.495 0.187 H
0.250 0.637 0.671 H
0.250 0.750 0.091 H
0.250 0.863 0.671 H
0.750 0.137 0.329 H
0.750 0.250 0.909 H
0.750 0.363 0.329 H
0.750 0.505 0.813 H
0.750 0.636 0.292 H
0.750 0.864 0.292 H
0.750 0.995 0.813 H
```


No. 6
This entry pairs a crystal structure of K4AuBrO with its computed powder diffractogram. Radiation: Cu Kα. Structure: a DFT-relaxed cell (GGA-PBE, Alexandria).
Intensities are scaled so that the largest is 100.

Top 12 peaks for 2θ from 10° to 90°, by intensity:
- 2θ = 32.08°, rel. 100.0
- 2θ = 23.93°, rel. 67.4
- 2θ = 34.10°, rel. 66.9
- 2θ = 23.15°, rel. 60.9
- 2θ = 26.19°, rel. 33.7
- 2θ = 17.66°, rel. 32.7
- 2θ = 59.77°, rel. 31.8
- 2θ = 47.32°, rel. 30.5
- 2θ = 41.62°, rel. 27.7
- 2θ = 31.80°, rel. 24.7
- 2θ = 13.00°, rel. 22.9
- 2θ = 48.99°, rel. 22.9

Crystal structure
```
K4AuBrO
1.0
3.720 -8.441 0.000
3.720 8.441 0.000
0.000 0.000 7.435
K Au Br O
8 2 2 2
Direct
0.000 0.500 0.000 K
0.000 0.500 0.500 K
0.095 0.905 0.750 K
0.403 0.597 0.750 K
0.500 0.000 0.000 K
0.500 0.000 0.500 K
0.597 0.403 0.250 K
0.905 0.095 0.250 K
0.396 0.604 0.250 Au
0.604 0.396 0.750 Au
0.106 0.894 0.250 Br
0.894 0.106 0.750 Br
0.249 0.751 0.750 O
0.751 0.249 0.250 O
```


No. 7
This entry pairs a crystal structure of Tm6Pd5Pt with its computed powder diffractogram. Radiation: Cu Kα. Structure: a DFT-relaxed cell (GGA-PBE, Alexandria).
Intensities are scaled so that the largest is 100.

Top 12 peaks for 2θ from 10° to 90°, by intensity:
- 2θ = 36.72°, rel. 100.0
- 2θ = 36.82°, rel. 66.3
- 2θ = 36.57°, rel. 33.8
- 2θ = 66.04°, rel. 23.9
- 2θ = 66.35°, rel. 23.6
- 2θ = 65.90°, rel. 12.1
- 2θ = 52.65°, rel. 11.9
- 2θ = 66.19°, rel. 11.8
- 2θ = 52.87°, rel. 11.7
- 2θ = 53.24°, rel. 11.5
- 2θ = 89.17°, rel. 8.2
- 2θ = 89.55°, rel. 8.2

Crystal structure
```
Tm6Pd5Pt
1.0
4.915 0.000 0.000
0.000 6.883 0.000
-2.429 0.000 7.350
Tm Pd Pt
6 5 1
Direct
0.000 0.247 0.000 Tm
0.000 0.753 0.000 Tm
0.335 0.249 0.669 Tm
0.335 0.751 0.669 Tm
0.665 0.249 0.331 Tm
0.665 0.751 0.331 Tm
0.165 0.500 0.331 Pd
0.170 0.000 0.341 Pd
0.500 0.500 0.000 Pd
0.830 0.000 0.659 Pd
0.835 0.500 0.669 Pd
0.500 0.000 0.000 Pt
```


No. 8
This entry pairs a crystal structure of CuH2O2 with its computed powder diffractogram. Radiation: Cu Kα. Structure: a DFT-relaxed cell (GGA-PBE, Alexandria).
Intensities are scaled so that the largest is 100.

Top 12 peaks for 2θ from 10° to 90°, by intensity:
- 2θ = 23.29°, rel. 100.0
- 2θ = 33.18°, rel. 53.1
- 2θ = 16.41°, rel. 44.5
- 2θ = 39.12°, rel. 29.5
- 2θ = 39.68°, rel. 29.3
- 2θ = 37.22°, rel. 21.2
- 2θ = 52.21°, rel. 20.1
- 2θ = 52.65°, rel. 20.1
- 2θ = 35.66°, rel. 17.0
- 2θ = 35.46°, rel. 15.9
- 2θ = 54.96°, rel. 13.6
- 2θ = 55.67°, rel. 12.6

Crystal structure
```
CuH2O2
1.0
2.961 0.000 0.000
0.000 5.400 0.000
-1.406 0.000 5.402
Cu H O
2 4 4
Direct
0.170 0.000 0.342 Cu
0.830 0.500 0.658 Cu
0.149 0.493 0.272 H
0.486 0.662 0.981 H
0.514 0.162 0.019 H
0.851 0.993 0.728 H
0.220 0.586 0.427 O
0.447 0.494 0.905 O
0.553 0.994 0.095 O
0.780 0.086 0.573 O
```


No. 9
This entry pairs a crystal structure of Ce3Mg2Pt3 with its computed powder diffractogram. Radiation: Cu Kα. Structure: a DFT-relaxed cell (GGA-PBE, Alexandria).
Intensities are scaled so that the largest is 100.

Top 12 peaks for 2θ from 10° to 90°, by intensity:
- 2θ = 36.04°, rel. 100.0
- 2θ = 21.14°, rel. 61.4
- 2θ = 30.40°, rel. 52.5
- 2θ = 37.32°, rel. 47.5
- 2θ = 37.05°, rel. 46.8
- 2θ = 47.62°, rel. 36.0
- 2θ = 48.65°, rel. 31.2
- 2θ = 57.75°, rel. 25.8
- 2θ = 70.27°, rel. 19.4
- 2θ = 66.48°, rel. 13.4
- 2θ = 57.35°, rel. 12.0
- 2θ = 75.63°, rel. 11.7

Crystal structure
```
Ce3Mg2Pt3
1.0
8.406 0.000 0.000
-4.203 7.280 0.000
0.000 0.000 5.880
Ce Mg Pt
6 4 6
Direct
0.000 0.269 0.250 Ce
0.000 0.731 0.750 Ce
0.269 0.000 0.250 Ce
0.269 0.269 0.750 Ce
0.731 0.000 0.750 Ce
0.731 0.731 0.250 Ce
0.333 0.667 0.000 Mg
0.333 0.667 0.500 Mg
0.667 0.333 0.000 Mg
0.667 0.333 0.500 Mg
0.000 0.390 0.750 Pt
0.000 0.610 0.250 Pt
0.390 0.000 0.750 Pt
0.390 0.390 0.250 Pt
0.610 0.000 0.250 Pt
0.610 0.610 0.750 Pt
```


No. 10
This entry pairs a crystal structure of LuPaTl with its computed powder diffractogram. Radiation: Cu Kα. Structure: a DFT-relaxed cell (GGA-PBE, Alexandria).
Intensities are scaled so that the largest is 100.

Top 12 peaks for 2θ from 10° to 90°, by intensity:
- 2θ = 32.87°, rel. 100.0
- 2θ = 39.12°, rel. 31.5
- 2θ = 66.95°, rel. 26.6
- 2θ = 54.30°, rel. 24.7
- 2θ = 36.13°, rel. 19.4
- 2θ = 89.61°, rel. 19.2
- 2θ = 62.92°, rel. 15.8
- 2θ = 68.93°, rel. 12.2
- 2θ = 56.51°, rel. 11.0
- 2θ = 84.06°, rel. 3.7
- 2θ = 76.66°, rel. 2.2
- 2θ = 28.04°, rel. 1.0

Crystal structure
```
LuPaTl
1.0
3.257 0.000 0.000
0.000 3.257 0.000
0.000 0.000 14.917
Lu Pa Tl
2 2 2
Direct
0.000 0.000 0.000 Lu
0.500 0.500 0.500 Lu
0.000 0.000 0.668 Pa
0.500 0.500 0.168 Pa
0.000 0.000 0.337 Tl
0.500 0.500 0.837 Tl
```


No. 11
This entry pairs a crystal structure of BaPuAg2Cl8 with its computed powder diffractogram. Radiation: Cu Kα. Structure: a DFT-relaxed cell (GGA-PBE, Alexandria).
Intensities are scaled so that the largest is 100.

Top 12 peaks for 2θ from 10° to 90°, by intensity:
- 2θ = 17.42°, rel. 100.0
- 2θ = 20.64°, rel. 82.3
- 2θ = 14.04°, rel. 75.2
- 2θ = 27.93°, rel. 64.5
- 2θ = 13.26°, rel. 52.0
- 2θ = 27.56°, rel. 50.8
- 2θ = 39.86°, rel. 42.3
- 2θ = 24.18°, rel. 40.4
- 2θ = 45.42°, rel. 35.3
- 2θ = 32.71°, rel. 31.0
- 2θ = 28.31°, rel. 30.0
- 2θ = 20.80°, rel. 29.7

Crystal structure
```
BaPuAg2Cl8
1.0
6.565 0.000 0.000
-1.121 7.023 0.000
-0.042 -2.801 8.611
Ba Pu Ag Cl
1 1 2 8
Direct
0.000 0.000 0.000 Ba
0.000 0.000 0.500 Pu
0.499 0.343 0.802 Ag
0.501 0.657 0.198 Ag
0.108 0.764 0.232 Cl
0.136 0.799 0.665 Cl
0.353 0.233 0.528 Cl
0.426 0.266 0.057 Cl
0.574 0.734 0.943 Cl
0.647 0.767 0.472 Cl
0.864 0.201 0.335 Cl
0.892 0.236 0.768 Cl
```


No. 12
This entry pairs a crystal structure of K2Ag with its computed powder diffractogram. Radiation: Cu Kα. Structure: a DFT-relaxed cell (GGA-PBE, Alexandria).
Intensities are scaled so that the largest is 100.

Top 12 peaks for 2θ from 10° to 90°, by intensity:
- 2θ = 27.35°, rel. 100.0
- 2θ = 11.44°, rel. 75.5
- 2θ = 36.03°, rel. 43.8
- 2θ = 29.94°, rel. 25.0
- 2θ = 30.07°, rel. 24.7
- 2θ = 42.95°, rel. 17.5
- 2θ = 21.87°, rel. 16.5
- 2θ = 51.59°, rel. 15.5
- 2θ = 51.76°, rel. 15.3
- 2θ = 32.15°, rel. 13.3
- 2θ = 32.28°, rel. 13.2
- 2θ = 56.76°, rel. 10.7

Crystal structure
```
K2Ag
1.0
5.943 0.000 0.000
0.000 5.969 0.000
-2.961 0.000 7.732
K Ag
4 2
Direct
0.126 0.000 0.254 K
0.374 0.500 0.746 K
0.626 0.500 0.254 K
0.874 0.000 0.746 K
0.000 0.500 0.000 Ag
0.500 0.000 0.000 Ag
```